# 1
For ScU2Mn9, DFT lattice parameters and positions (PBE) gives the calculated PXRD pattern in this record (λ = 1.5418 Å (Cu Kα)).

Largest 6 diffraction maxima, by angle, 2θ from 10° to 80°:
- 2θ 15.39, I 782
- 2θ 23.40, I 472
- 2θ 30.24, I 610
- 2θ 39.26, I 690
- 2θ 43.55, I 1000
- 2θ 43.91, I 951

Lattice parameters (Å, degrees): 8.141 8.141 5.062 90.00 90.00 90.00
Element x y z (fractional)
1 Sc 0.000 0.000 0.000
2 Sc 0.500 0.500 0.000
3 U 0.114 0.386 0.000
4 U 0.386 0.886 0.000
5 U 0.614 0.114 0.000
6 U 0.886 0.614 0.000
7 Mn 0.000 0.500 0.500
8 Mn 0.067 0.203 0.500
9 Mn 0.185 0.685 0.248
10 Mn 0.185 0.685 0.752
11 Mn 0.203 0.933 0.500
12 Mn 0.297 0.433 0.500
13 Mn 0.315 0.185 0.248
14 Mn 0.315 0.185 0.752
15 Mn 0.433 0.703 0.500
16 Mn 0.500 0.000 0.500
17 Mn 0.567 0.297 0.500
18 Mn 0.685 0.815 0.248
19 Mn 0.685 0.815 0.752
20 Mn 0.703 0.567 0.500
21 Mn 0.797 0.067 0.500
22 Mn 0.815 0.315 0.248
23 Mn 0.815 0.315 0.752
24 Mn 0.933 0.797 0.500

# 2
For La6PmNdDy2, DFT lattice parameters and positions (PBE) gives the calculated PXRD pattern in this record (λ = 1.5418 Å (Cu Kα)).

Largest 6 diffraction maxima, by angle, 2θ from 10° to 80°:
- 2θ 29.50, I 554
- 2θ 30.03, I 1000
- 2θ 30.58, I 844
- 2θ 30.87, I 654
- 2θ 32.09, I 532
- 2θ 32.35, I 424

Lattice parameters (Å, degrees): 6.735 6.735 8.995 100.81 100.81 64.94
Element x y z (fractional)
1 La 0.098 0.544 0.198
2 La 0.139 0.139 0.436
3 La 0.456 0.902 0.802
4 La 0.544 0.098 0.198
5 La 0.861 0.861 0.564
6 La 0.902 0.456 0.802
7 Pm 0.000 0.000 0.000
8 Nd 0.500 0.500 0.500
9 Dy 0.408 0.408 0.841
10 Dy 0.592 0.592 0.159

# 3
For La8Sm3Sc, DFT lattice parameters and positions (PBE) gives the calculated PXRD pattern in this record (λ = 1.5418 Å (Cu Kα)).

Largest 6 diffraction maxima, by angle, 2θ from 10° to 80°:
- 2θ 23.81, I 779
- 2θ 25.24, I 865
- 2θ 28.65, I 813
- 2θ 30.36, I 789
- 2θ 32.16, I 546
- 2θ 35.64, I 1000

Lattice parameters (Å, degrees): 8.574 8.574 8.574 118.14 118.14 93.25
Element x y z (fractional)
1 La 0.123 0.123 0.751
2 La 0.231 0.231 0.487
3 La 0.256 0.769 0.000
4 La 0.372 0.372 0.249
5 La 0.628 0.877 0.000
6 La 0.744 0.744 0.513
7 La 0.769 0.256 0.000
8 La 0.877 0.628 0.000
9 Sm 0.250 0.750 0.500
10 Sm 0.500 0.500 0.000
11 Sm 0.750 0.250 0.500
12 Sc 0.000 0.000 0.000